1.
# Tm3TaO7
Simulated PXRD pattern, Cu Kα. Input: a cell relaxed with GGA-PBE.

Atomic structure:
```
data_Tm3TaO7
_space_group_name_H-M_alt 'P n m a'
_space_group_IT_number 62
_space_group_name_Hall '-P 2ac 2n'
_cell_length_a 7.3810
_cell_length_b 10.4580
_cell_length_c 7.4866
_cell_angle_alpha 90.00
_cell_angle_beta 90.00
_cell_angle_gamma 90.00
loop_
_atom_site_label
_atom_site_type_symbol
_atom_site_fract_x
_atom_site_fract_y
_atom_site_fract_z
_atom_site_occupancy
Tm1 Tm 0.0149 0.2500 0.2029 1
Tm2 Tm 0.2476 0.0198 0.5301 1
Ta1 Ta 0.0017 0.2500 0.7486 1
O1 O 0.0376 0.1237 0.9552 1
O2 O 0.0400 0.6106 0.4168 1
O3 O 0.2437 0.6158 0.7675 1
O4 O 0.2493 0.2500 0.6602 1
```

The 8 most intense peaks (15° ≤ 2θ ≤ 90°), most intense first:
2θ (°)  I/Imax  hkl
29.63  100  2 2 0
29.34  96  0 2 2
49.16  49  2 4 2
34.12  49  2 0 2
58.47  38  4 2 2
34.30  25  0 4 0
58.00  17  2 2 4
49.39  16  4 0 0

---

2.
# Tm3TaO7
Simulated PXRD pattern, Cu Kα. Input: a cell relaxed with GGA-PBE.

Atomic structure:
```
data_Tm3TaO7
_space_group_name_H-M_alt 'C m c m'
_space_group_IT_number 63
_space_group_name_Hall '-C 2c 2'
_cell_length_a 10.4747
_cell_length_b 7.3076
_cell_length_c 7.4287
_cell_angle_alpha 90.00
_cell_angle_beta 90.00
_cell_angle_gamma 90.00
loop_
_atom_site_label
_atom_site_type_symbol
_atom_site_fract_x
_atom_site_fract_y
_atom_site_fract_z
_atom_site_occupancy
Tm1 Tm 0.0000 0.0000 0.0000 1
Tm2 Tm 0.2308 0.2833 0.2500 1
Ta1 Ta 0.0000 0.5000 0.0000 1
O1 O 0.0000 0.4140 0.2500 1
O2 O 0.1306 0.3058 0.5367 1
O3 O 0.1332 0.0198 0.2500 1
```

The 8 most intense peaks (15° ≤ 2θ ≤ 90°), most intense first:
2θ (°)  I/Imax  hkl
29.48  100  2 0 2
29.82  97  2 2 0
49.35  52  4 2 2
34.43  50  0 2 2
58.45  41  2 2 4
34.24  25  4 0 0
59.05  24  2 4 2
49.05  17  0 0 4

---

3.
# TmTaO4
Simulated PXRD pattern, Cu Kα. Input: a cell relaxed with GGA-PBE.

Atomic structure:
```
data_TmTaO4
_space_group_name_H-M_alt 'P 1 21/c 1'
_space_group_IT_number 14
_space_group_name_Hall '-P 2ybc'
_cell_length_a 7.5647
_cell_length_b 5.3016
_cell_length_c 7.5492
_cell_angle_alpha 90.00
_cell_angle_beta 98.37
_cell_angle_gamma 90.00
loop_
_atom_site_label
_atom_site_type_symbol
_atom_site_fract_x
_atom_site_fract_y
_atom_site_fract_z
_atom_site_occupancy
Tm1 Tm 0.1450 0.2213 0.3864 1
Ta1 Ta 0.3342 0.7320 0.1891 1
O1 O 0.1073 0.5157 0.1750 1
O2 O 0.1760 0.0101 0.1160 1
O3 O 0.3258 0.6211 0.9370 1
O4 O 0.4332 0.0999 0.8103 1
```

The 8 most intense peaks (15° ≤ 2θ ≤ 90°), most intense first:
2θ (°)  I/Imax  hkl
29.23  100  2 1 0
33.81  16  0 2 0
50.51  15  2 2 2
23.80  14  2 0 0
30.27  13  1 1 -2
57.70  12  2 3 0
36.38  11  2 0 2
61.11  10  4 1 2

---

4.
# UTa2O7
Simulated PXRD pattern, Cu Kα. Input: a cell relaxed with GGA-PBE.

Atomic structure:
```
data_UTa2O7
_space_group_name_H-M_alt 'I m m a'
_space_group_IT_number 74
_space_group_name_Hall '-I 2b 2'
_cell_length_a 7.3729
_cell_length_b 7.4878
_cell_length_c 10.5506
_cell_angle_alpha 90.00
_cell_angle_beta 90.00
_cell_angle_gamma 90.00
loop_
_atom_site_label
_atom_site_type_symbol
_atom_site_fract_x
_atom_site_fract_y
_atom_site_fract_z
_atom_site_occupancy
U1 U 0.0000 0.0000 0.0000 1
Ta1 Ta 0.0000 0.0000 0.5000 1
Ta2 Ta 0.2500 0.2500 0.2500 1
O1 O 0.0000 0.2500 0.1787 1
O2 O 0.0000 0.2500 0.5551 1
O3 O 0.0000 0.2500 0.9131 1
O4 O 0.2036 0.0633 0.3804 1
```

The 8 most intense peaks (15° ≤ 2θ ≤ 90°), most intense first:
2θ (°)  I/Imax  hkl
29.56  100  2 0 2
29.25  98  0 2 2
48.94  57  2 2 4
34.13  48  2 2 0
57.95  46  2 4 2
16.81  32  0 0 2
58.49  29  4 2 2
33.99  26  0 0 4

---

5.
# U2Ta6O19
Simulated PXRD pattern, Cu Kα. Input: a cell relaxed with GGA-PBE.

Atomic structure:
```
data_U2Ta6O19
_space_group_name_H-M_alt 'P 63/m c m'
_space_group_IT_number 193
_space_group_name_Hall '-P 6c 2'
_cell_length_a 6.3723
_cell_length_b 6.3723
_cell_length_c 20.0923
_cell_angle_alpha 90.00
_cell_angle_beta 90.00
_cell_angle_gamma 120.00
loop_
_atom_site_label
_atom_site_type_symbol
_atom_site_fract_x
_atom_site_fract_y
_atom_site_fract_z
_atom_site_occupancy
U1 U 0.3333 0.6667 0.0000 1
Ta1 Ta 0.0000 0.3514 0.1555 1
O1 O 0.0000 0.2400 0.6551 1
O2 O 0.0000 0.3846 0.0544 1
O3 O 0.0000 0.4007 0.2500 1
O4 O 0.3333 0.6667 0.1448 1
```

The 8 most intense peaks (15° ≤ 2θ ≤ 90°), most intense first:
2θ (°)  I/Imax  hkl
28.36  100  1 1 1
26.62  72  0 0 6
33.30  65  1 1 4
29.41  61  1 1 2
49.55  50  3 0 0
35.97  48  1 1 5
57.13  48  3 0 6
16.06  33  1 0 0

---

6.
# Y3TaO7
Simulated PXRD pattern, Cu Kα. Input: a cell relaxed with GGA-PBE.

Atomic structure:
```
data_Y3TaO7
_space_group_name_H-M_alt 'P 1'
_space_group_IT_number 1
_space_group_name_Hall 'P 1'
_cell_length_a 5.5577
_cell_length_b 7.5906
_cell_length_c 8.1706
_cell_angle_alpha 63.98
_cell_angle_beta 89.58
_cell_angle_gamma 89.56
loop_
_atom_site_label
_atom_site_type_symbol
_atom_site_fract_x
_atom_site_fract_y
_atom_site_fract_z
_atom_site_occupancy
Y1 Y 0.0000 0.0000 0.0000 1
Y2 Y 0.0079 0.6579 0.4625 1
Y3 Y 0.0430 0.1577 0.4565 1
Y4 Y 0.0658 0.4994 0.9975 1
Y5 Y 0.5223 0.0761 0.2389 1
Y6 Y 0.5370 0.5746 0.2406 1
Ta1 Ta 0.5233 0.8570 0.7500 1
Ta2 Ta 0.5379 0.3571 0.7437 1
O1 O 0.1952 0.7264 0.1187 1
O2 O 0.2116 0.9210 0.3987 1
O3 O 0.2333 0.0025 0.7346 1
O4 O 0.3163 0.3309 0.2415 1
O5 O 0.3302 0.2229 0.9512 1
O6 O 0.3483 0.4538 0.5326 1
O7 O 0.3652 0.6189 0.7758 1
O8 O 0.6930 0.1108 0.7834 1
O9 O 0.7060 0.9466 0.5348 1
O10 O 0.7305 0.7148 0.9548 1
O11 O 0.7430 0.8309 0.2381 1
O12 O 0.8252 0.4952 0.7415 1
O13 O 0.8341 0.4160 0.4197 1
O14 O 0.8674 0.2283 0.1322 1
```

The 8 most intense peaks (15° ≤ 2θ ≤ 90°), most intense first:
2θ (°)  I/Imax  hkl
29.09  100  1 0 2
29.21  99  1 0 -2
28.59  84  -1 2 1
28.38  84  1 2 1
32.21  51  2 0 0
33.48  38  0 2 -1
20.03  38  1 0 1
34.48  36  0 2 3

---

7.
# YTaO4
Simulated PXRD pattern, Cu Kα. Input: a cell relaxed with GGA-PBE.

Atomic structure:
```
data_YTaO4
_space_group_name_H-M_alt 'C 1 2/c 1'
_space_group_IT_number 15
_space_group_name_Hall '-C 2yc'
_cell_length_a 7.0822
_cell_length_b 11.0905
_cell_length_c 5.1194
_cell_angle_alpha 90.00
_cell_angle_beta 130.95
_cell_angle_gamma 90.00
loop_
_atom_site_label
_atom_site_type_symbol
_atom_site_fract_x
_atom_site_fract_y
_atom_site_fract_z
_atom_site_occupancy
Y1 Y 0.0000 0.1304 0.2500 1
Ta1 Ta 0.0000 0.3962 0.7500 1
O1 O 0.1588 0.2900 0.6614 1
O2 O 0.2448 0.4682 0.2072 1
```

The 8 most intense peaks (15° ≤ 2θ ≤ 90°), most intense first:
2θ (°)  I/Imax  hkl
28.13  100  0 2 1
29.96  84  2 2 -1
18.41  28  1 1 0
47.22  25  2 4 0
48.51  25  2 4 -2
33.50  22  2 0 0
32.29  20  0 4 0
35.20  17  2 0 -2

---

8.
# Y11Ta5O28
Simulated PXRD pattern, Cu Kα. Input: a cell relaxed with GGA-PBE.

Atomic structure:
```
data_Y11Ta5O28
_space_group_name_H-M_alt 'P 1 m 1'
_space_group_IT_number 6
_space_group_name_Hall 'P -2y'
_cell_length_a 7.4671
_cell_length_b 7.4517
_cell_length_c 10.5348
_cell_angle_alpha 90.00
_cell_angle_beta 90.44
_cell_angle_gamma 90.00
loop_
_atom_site_label
_atom_site_type_symbol
_atom_site_fract_x
_atom_site_fract_y
_atom_site_fract_z
_atom_site_occupancy
Y1 Y 0.0000 0.0000 0.0000 1
Y2 Y 0.0034 0.5000 0.5170 1
Y3 Y 0.0293 0.0000 0.4969 1
Y4 Y 0.0318 0.5000 0.0317 1
Y5 Y 0.2429 0.2574 0.7655 1
Y6 Y 0.4978 0.5000 0.0297 1
Y7 Y 0.5164 0.0000 0.0050 1
Y8 Y 0.5285 0.5000 0.5184 1
Y9 Y 0.7688 0.2521 0.2590 1
Ta1 Ta 0.2602 0.2248 0.2487 1
Ta2 Ta 0.4949 0.0000 0.4886 1
Ta3 Ta 0.7631 0.2486 0.7588 1
O1 O 0.0490 0.2309 0.1342 1
O2 O 0.0582 0.2686 0.3794 1
O3 O 0.2585 0.0000 0.8834 1
O4 O 0.2625 0.5000 0.8965 1
O5 O 0.2661 0.5000 0.1928 1
O6 O 0.2719 0.5000 0.6283 1
O7 O 0.2753 0.0000 0.3580 1
O8 O 0.2920 0.0000 0.6095 1
O9 O 0.4626 0.2533 0.3981 1
O10 O 0.4790 0.2327 0.1412 1
O11 O 0.5629 0.2807 0.8759 1
O12 O 0.6006 0.1833 0.6179 1
O13 O 0.7406 0.0000 0.4012 1
O14 O 0.7482 0.5000 0.6858 1
O15 O 0.7603 0.5000 0.3941 1
O16 O 0.7629 0.0000 0.1260 1
O17 O 0.7650 0.5000 0.1292 1
O18 O 0.7729 0.0000 0.8267 1
O19 O 0.9621 0.2847 0.8824 1
O20 O 0.9802 0.2247 0.6401 1
```

The 8 most intense peaks (15° ≤ 2θ ≤ 90°), most intense first:
2θ (°)  I/Imax  hkl
29.39  100  2 0 2
34.01  41  2 2 0
29.21  36  2 0 -2
48.75  31  2 2 -4
58.09  26  2 4 2
49.01  21  2 2 4
57.85  14  4 2 -2
48.89  11  0 4 0